[1]
Structure and computed powder XRD pattern of YTcN3 (DFT lattice parameters and positions (PBE); Cu Kα (λ = 1.5418 Å)).
Kinematic intensities with the Lorentz-polarization factor, no thermal factor.

Structure:
Cell lengths 7.437, 7.437, 4.930 Å; angles 92.21, 92.21, 92.13 degrees
Fractional positions:
Y 0.117 0.329 0.356
Y 0.329 0.117 0.856
Y 0.671 0.883 0.144
Y 0.883 0.671 0.644
Tc 0.198 0.802 0.250
Tc 0.447 0.553 0.750
Tc 0.553 0.447 0.250
Tc 0.802 0.198 0.750
N 0.027 0.221 0.897
N 0.189 0.632 0.525
N 0.221 0.027 0.397
N 0.320 0.433 0.068
N 0.368 0.811 0.975
N 0.433 0.320 0.568
N 0.567 0.680 0.432
N 0.632 0.189 0.025
N 0.680 0.567 0.932
N 0.779 0.973 0.603
N 0.811 0.368 0.475
N 0.973 0.779 0.103

The 10 most intense peaks (10 to 90 degrees two-theta), in order of rising 2θ:
2theta	I/Imax
22.06	45
26.42	46
27.26	30
29.55	78
30.74	100
31.89	45
34.82	34
37.86	32
41.48	31
53.78	30

---

[2]
Structure and computed powder XRD pattern of Zr2TcN (DFT lattice parameters and positions (PBE); Cu Kα (λ = 1.5418 Å)).
Kinematic intensities with the Lorentz-polarization factor, no thermal factor.

Structure:
Cell lengths 7.171, 7.171, 7.171 Å; angles 25.99, 25.99, 25.99 degrees
Fractional positions:
Zr 0.232 0.232 0.232
Zr 0.768 0.768 0.768
Tc 0.000 0.000 0.000
N 0.500 0.500 0.500

The 10 most intense peaks (10 to 90 degrees two-theta), in order of rising 2θ:
2theta	I/Imax
32.35	20
33.22	7
36.53	100
38.85	36
39.02	21
47.83	30
57.13	29
67.53	15
69.74	14
71.35	20

---

[3]
Structure and computed powder XRD pattern of ZrTcN (DFT lattice parameters and positions (PBE); Cu Kα (λ = 1.5418 Å)).
Kinematic intensities with the Lorentz-polarization factor, no thermal factor.

Structure:
Cell lengths 5.860, 5.860, 4.569 Å; angles 90.00, 90.00, 148.56 degrees
Fractional positions:
Zr 0.173 0.827 0.750
Zr 0.827 0.173 0.250
Tc 0.436 0.564 0.750
Tc 0.564 0.436 0.250
N 0.182 0.818 0.250
N 0.818 0.182 0.750

The 10 most intense peaks (10 to 90 degrees two-theta), in order of rising 2θ:
2theta	I/Imax
35.33	93
37.06	67
37.48	100
39.45	61
42.18	35
49.57	19
55.23	40
58.10	19
71.22	30
72.51	19

---

[4]
Structure and computed powder XRD pattern of ZrTcN (DFT lattice parameters and positions (PBE); Cu Kα (λ = 1.5418 Å)).
Kinematic intensities with the Lorentz-polarization factor, no thermal factor.

Structure:
Cell lengths 3.228, 3.228, 4.009 Å; angles 90.00, 90.00, 90.00 degrees
Fractional positions:
Zr 0.000 0.000 0.000
Tc 0.500 0.500 0.500
N 0.500 0.500 0.000

The 10 most intense peaks (10 to 90 degrees two-theta), in order of rising 2θ:
2theta	I/Imax
27.63	1
35.71	100
39.47	50
45.23	17
57.06	16
61.57	25
69.16	29
75.64	13
77.27	10
84.97	5

---

[5]
Structure and computed powder XRD pattern of TiVTeN2 (DFT lattice parameters and positions (PBE); Cu Kα (λ = 1.5418 Å)).
Kinematic intensities with the Lorentz-polarization factor, no thermal factor.

Structure:
Cell lengths 3.838, 3.838, 5.363 Å; angles 90.00, 90.00, 90.00 degrees
Fractional positions:
Ti 0.000 0.000 0.000
V 0.500 0.500 0.500
Te 0.500 0.500 0.000
N 0.000 0.500 0.500
N 0.500 0.000 0.500

The 10 most intense peaks (10 to 90 degrees two-theta), in order of rising 2θ:
2theta	I/Imax
16.53	55
23.17	100
33.01	95
33.42	76
37.13	79
41.06	44
47.37	53
47.68	67
59.21	52
64.45	23

---

[6]
Structure and computed powder XRD pattern of Tl3Te2N (DFT lattice parameters and positions (PBE); Cu Kα (λ = 1.5418 Å)).
Kinematic intensities with the Lorentz-polarization factor, no thermal factor.

Structure:
Cell lengths 8.962, 8.962, 7.258 Å; angles 102.32, 102.32, 40.98 degrees
Fractional positions:
Tl 0.065 0.065 0.261
Tl 0.288 0.288 0.402
Tl 0.353 0.353 0.994
Tl 0.647 0.647 0.006
Tl 0.712 0.712 0.598
Tl 0.935 0.935 0.739
Te 0.143 0.143 0.805
Te 0.469 0.469 0.670
Te 0.531 0.531 0.330
Te 0.857 0.857 0.195
N 0.173 0.173 0.553
N 0.827 0.827 0.447

The 10 most intense peaks (10 to 90 degrees two-theta), in order of rising 2θ:
2theta	I/Imax
25.07	11
27.59	46
28.43	100
30.38	23
30.86	39
38.26	10
40.05	36
47.67	11
50.34	13
59.85	9

---

[7]
Structure and computed powder XRD pattern of Tm3TeN (DFT lattice parameters and positions (PBE); Cu Kα (λ = 1.5418 Å)).
Kinematic intensities with the Lorentz-polarization factor, no thermal factor.

Structure:
Cell lengths 10.735, 10.735, 6.116 Å; angles 90.00, 90.00, 160.51 degrees
Fractional positions:
Tm 0.057 0.943 0.500
Tm 0.196 0.804 0.340
Tm 0.419 0.581 0.540
Tm 0.581 0.419 0.040
Tm 0.804 0.196 0.840
Tm 0.943 0.057 0.000
Te 0.185 0.815 0.838
Te 0.815 0.185 0.338
N 0.373 0.627 0.866
N 0.627 0.373 0.366

The 10 most intense peaks (10 to 90 degrees two-theta), in order of rising 2θ:
2theta	I/Imax
28.89	35
29.22	45
30.43	91
31.31	100
32.47	79
33.89	67
35.72	64
38.98	50
40.62	48
62.51	42

---

[8]
Structure and computed powder XRD pattern of Y3Te3N (DFT lattice parameters and positions (PBE); Cu Kα (λ = 1.5418 Å)).
Kinematic intensities with the Lorentz-polarization factor, no thermal factor.

Structure:
Cell lengths 8.146, 12.048, 8.674 Å; angles 90.00, 108.98, 90.00 degrees
Fractional positions:
Y 0.101 0.023 0.361
Y 0.101 0.477 0.861
Y 0.267 0.709 0.153
Y 0.267 0.791 0.653
Y 0.340 0.088 0.795
Y 0.340 0.412 0.295
Y 0.660 0.588 0.705
Y 0.660 0.912 0.205
Y 0.733 0.209 0.347
Y 0.733 0.291 0.847
Y 0.899 0.523 0.139
Y 0.899 0.977 0.639
Te 0.008 0.233 0.689
Te 0.008 0.267 0.189
Te 0.275 0.522 0.585
Te 0.275 0.978 0.085
Te 0.452 0.193 0.517
Te 0.452 0.307 0.017
Te 0.548 0.693 0.983
Te 0.548 0.807 0.483
Te 0.725 0.022 0.915
Te 0.725 0.478 0.415
Te 0.992 0.733 0.811
Te 0.992 0.767 0.311
N 0.174 0.535 0.123
N 0.174 0.965 0.623
N 0.826 0.035 0.377
N 0.826 0.465 0.877

The 10 most intense peaks (10 to 90 degrees two-theta), in order of rising 2θ:
2theta	I/Imax
24.68	50
27.13	68
27.49	56
27.77	47
28.79	92
29.62	100
31.86	91
34.45	35
34.67	57
35.77	48

---

[9]
Structure and computed powder XRD pattern of YTeN (DFT lattice parameters and positions (PBE); Cu Kα (λ = 1.5418 Å)).
Kinematic intensities with the Lorentz-polarization factor, no thermal factor.

Structure:
Cell lengths 4.513, 6.109, 10.718 Å; angles 90.00, 90.00, 90.00 degrees
Fractional positions:
Y 0.250 0.250 0.138
Y 0.250 0.750 0.355
Y 0.750 0.250 0.645
Y 0.750 0.750 0.862
Te 0.250 0.250 0.418
Te 0.250 0.750 0.046
Te 0.750 0.250 0.954
Te 0.750 0.750 0.582
N 0.250 0.151 0.727
N 0.250 0.349 0.727
N 0.750 0.651 0.273
N 0.750 0.849 0.273

The 10 most intense peaks (10 to 90 degrees two-theta), in order of rising 2θ:
2theta	I/Imax
21.36	99
25.92	37
29.24	100
31.95	88
35.25	70
36.50	60
36.62	53
39.96	46
43.85	64
50.27	43

---

[10]
Structure and computed powder XRD pattern of ZnTe2N2 (DFT lattice parameters and positions (PBE); Cu Kα (λ = 1.5418 Å)).
Kinematic intensities with the Lorentz-polarization factor, no thermal factor.

Structure:
Cell lengths 3.978, 3.978, 6.701 Å; angles 90.00, 90.00, 90.00 degrees
Fractional positions:
Zn 0.000 0.000 0.000
Te 0.500 0.500 0.000
Te 0.500 0.500 0.500
N 0.000 0.500 0.500
N 0.500 0.000 0.500

The 10 most intense peaks (10 to 90 degrees two-theta), in order of rising 2θ:
2theta	I/Imax
22.35	79
26.61	100
31.81	87
35.02	49
41.94	83
45.61	44
53.58	54
58.77	22
64.77	23
81.78	24

---

[11]
Structure and computed powder XRD pattern of Th3N4 (DFT lattice parameters and positions (PBE); Cu Kα (λ = 1.5418 Å)).
Kinematic intensities with the Lorentz-polarization factor, no thermal factor.

Structure:
Cell lengths 9.429, 9.429, 9.429 Å; angles 23.75, 23.75, 23.75 degrees
Fractional positions:
Th 0.000 0.000 0.000
Th 0.222 0.222 0.222
Th 0.778 0.778 0.778
N 0.133 0.133 0.133
N 0.377 0.377 0.377
N 0.623 0.623 0.623
N 0.867 0.867 0.867

The 10 most intense peaks (10 to 90 degrees two-theta), in order of rising 2θ:
2theta	I/Imax
26.72	40
29.25	51
29.59	89
31.19	100
37.44	22
46.81	52
51.04	26
54.11	23
56.16	52
79.96	19

---

[12]
Structure and computed powder XRD pattern of Th2N3 (DFT lattice parameters and positions (PBE); Cu Kα (λ = 1.5418 Å)).
Kinematic intensities with the Lorentz-polarization factor, no thermal factor.

Structure:
Cell lengths 3.911, 3.911, 6.166 Å; angles 90.00, 90.00, 120.00 degrees
Fractional positions:
Th 0.333 0.667 0.249
Th 0.667 0.333 0.751
N 0.000 0.000 0.000
N 0.333 0.667 0.641
N 0.667 0.333 0.359

The 10 most intense peaks (10 to 90 degrees two-theta), in order of rising 2θ:
2theta	I/Imax
26.31	26
28.96	26
30.10	100
39.53	21
46.43	27
52.05	26
55.66	26
56.33	18
72.29	10
75.90	16

---

[13]
Structure and computed powder XRD pattern of ThN4 (DFT lattice parameters and positions (PBE); Cu Kα (λ = 1.5418 Å)).
Kinematic intensities with the Lorentz-polarization factor, no thermal factor.

Structure:
Cell lengths 4.713, 4.713, 4.713 Å; angles 90.00, 90.00, 90.00 degrees
Fractional positions:
Th 0.000 0.000 0.000
N 0.000 0.000 0.500
N 0.000 0.500 0.000
N 0.500 0.000 0.000
N 0.500 0.500 0.500

The 10 most intense peaks (10 to 90 degrees two-theta), in order of rising 2θ:
2theta	I/Imax
18.83	100
26.75	87
32.91	19
38.19	26
42.91	50
47.24	39
55.11	18
58.77	25
62.29	17
75.47	20

---

[14]
Structure and computed powder XRD pattern of Th3N4 (DFT lattice parameters and positions (PBE); Cu Kα (λ = 1.5418 Å)).
Kinematic intensities with the Lorentz-polarization factor, no thermal factor.

Structure:
Cell lengths 6.623, 6.623, 6.623 Å; angles 109.47, 109.47, 109.47 degrees
Fractional positions:
Th 0.125 0.750 0.875
Th 0.250 0.625 0.375
Th 0.375 0.250 0.625
Th 0.625 0.375 0.250
Th 0.750 0.875 0.125
Th 0.875 0.125 0.750
N 0.000 0.387 0.500
N 0.000 0.887 0.500
N 0.113 0.113 0.113
N 0.387 0.500 0.000
N 0.500 0.000 0.387
N 0.500 0.000 0.887
N 0.613 0.613 0.613
N 0.887 0.500 0.000

The 10 most intense peaks (10 to 90 degrees two-theta), in order of rising 2θ:
2theta	I/Imax
28.59	100
33.13	9
37.18	44
44.32	25
53.59	27
56.43	17
61.86	26
67.02	6
76.84	22
81.58	8